# 1
Computed powder diffraction line list
Compound: CuSnOs
Radiation: CuKα
Structure: a cell relaxed with PBE

Structural model:
```
CuSnOs
1.0
3.3174 0.0000 0.0000
0.0000 3.3174 0.0000
0.0000 0.0000 8.6199
Cu Sn Os
2 2 2
Cartesian
0.0000 0.0000 0.0000
1.6587 1.6587 4.3100
0.0000 0.0000 5.7782
1.6587 1.6587 1.4682
0.0000 0.0000 2.9451
1.6587 1.6587 7.2551
```

Largest 8 diffraction maxima, sorted by position, 2θ = 10–90°:
2θ/deg	d [Å]	intensity	h k l
20.6	4.310	10	0 0 2
28.8	3.096	20	1 0 1
38.4	2.346	63	1 1 0
41.6	2.172	100	1 0 3
55.4	1.659	22	2 0 0
71.6	1.318	40	2 1 3
78.0	1.225	16	1 1 6
82.2	1.173	7	2 2 0



# 2
Computed powder diffraction line list
Compound: Sr2CuOs
Radiation: CuKα
Structure: a cell relaxed with PBE

Structural model:
```
Sr2CuOs
1.0
4.3227 0.0000 0.0000
0.0000 4.6647 0.0000
0.0000 0.0000 10.8328
Sr Cu Os
4 2 2
Cartesian
0.0000 0.0000 0.0000
0.0000 2.3324 5.4164
2.1614 0.0000 3.0896
2.1614 2.3324 8.5060
0.0000 0.0000 7.4984
0.0000 2.3324 2.0820
2.1614 0.0000 6.4548
2.1614 2.3324 1.0384
```

Largest 8 diffraction maxima, sorted by position, 2θ = 10–90°:
2θ/deg	d [Å]	intensity	h k l
16.4	5.416	58	0 0 2
20.7	4.284	38	0 1 1
29.4	3.043	100	1 1 1
31.3	2.855	80	0 1 3
37.8	2.383	73	1 1 3
38.6	2.332	39	0 2 0
39.3	2.295	40	1 0 4
53.1	1.723	36	2 1 3



# 3
Computed powder diffraction line list
Compound: TbCuOs
Radiation: CuKα
Structure: a cell relaxed with PBE

Structural model:
```
TbCuOs
1.0
5.1749 0.0000 0.0000
0.0000 5.2095 0.0000
0.0000 0.0000 7.7869
Tb Cu Os
4 4 4
Cartesian
0.0000 1.3024 0.9314
0.0000 3.9071 6.8555
2.5874 1.3024 2.9620
2.5874 3.9071 4.8248
0.0000 0.0000 3.8934
0.0000 2.6048 3.8934
2.5874 0.0000 0.0000
2.5874 2.6048 0.0000
1.2937 1.3024 5.8401
1.2937 3.9071 1.9467
3.8812 1.3024 5.8401
3.8812 3.9071 1.9467
```

Largest 8 diffraction maxima, sorted by position, 2θ = 10–90°:
2θ/deg	d [Å]	intensity	h k l
33.6	2.671	48	1 1 2
34.4	2.605	34	0 2 0
38.8	2.323	81	0 1 3
40.5	2.229	40	1 2 1
40.6	2.221	100	2 1 1
41.7	2.165	32	0 2 2
41.9	2.155	37	2 0 2
70.5	1.336	38	2 2 4